(1)
Computed powder diffraction line list of Cu2Sn5Cl12 for Cu Ka, from a cell relaxed with PBE.
Neutral-atom scattering factors, no anomalous dispersion.

Atomic structure:
Unit cell a=15.6137 b=7.9780 c=9.4567 alpha=90.00 beta=109.57 gamma=90.00
Space group C2/m (No. 12)
Asymmetric unit:
Cu 0.0000 0.1634 0.0000
Sn 0.0000 0.0000 0.5000
Sn 0.1670 0.5000 0.8080
Sn 0.1841 0.5000 0.2869
Cl 0.0066 0.5000 0.2860
Cl 0.0215 0.0000 0.2183
Cl 0.1438 0.2807 0.0578
Cl 0.1542 0.2364 0.6075

Main lines, in order of rising 2θ (2θ = 10–80°):
d = 4.178 Å, I = 100, hkl 3 1 0; d = 4.066 Å, I = 74, hkl 1 1 -2; d = 2.972 Å, I = 35, hkl 0 2 2; d = 2.564 Å, I = 25, hkl 2 2 2; d = 2.452 Å, I = 30, hkl 6 0 0; d = 1.996 Å, I = 26, hkl 0 4 0


(2)
Computed powder diffraction line list of Ca2Zn6Pd for Cu Ka, from a cell relaxed with PBE.
Neutral-atom scattering factors, no anomalous dispersion.

Atomic structure:
Unit cell a=5.7929 b=5.7929 c=5.8372 alpha=90.00 beta=90.00 gamma=120.00
Space group P-3m1 (No. 164)
Asymmetric unit:
Ca 0.3333 0.6667 0.3524
Zn 0.1773 0.3546 0.8352
Pd 0.0000 0.0000 0.5000

Main lines, in order of rising 2θ (2θ = 10–80°):
d = 5.017 Å, I = 23, hkl 1 0 0; d = 2.595 Å, I = 42, hkl 1 1 1; d = 2.523 Å, I = 36, hkl 1 0 2; d = 2.305 Å, I = 100, hkl 0 2 1; d = 1.902 Å, I = 35, hkl 2 0 2; d = 1.448 Å, I = 22, hkl 2 2 0